No. 1
Diffraction record for TbGd2Sn3Pb4. The XRD peak list is simulated, not measured: it uses DFT lattice parameters and positions (PBE) and Cu Kα (weighted mean of Kα1 and Kα2).

```
data_TbGd2Sn3Pb4
_chemical_formula_sum 'Tb1 Gd2 Sn3 Pb4'
_space_group_name_H-M_alt 'P 1'
_space_group_IT_number 1
_cell_length_a 13.149
_cell_length_b 13.149
_cell_length_c 4.687
_cell_angle_alpha 90.00
_cell_angle_beta 90.00
_cell_angle_gamma 159.81
loop_
_space_group_symop_operation_xyz
'x,y,z'
loop_
_atom_site_label
_atom_site_fract_x
_atom_site_fract_y
_atom_site_fract_z
Tb1 0.000 0.000 0.000
Gd1 0.191 0.809 0.000
Gd2 0.809 0.191 0.000
Sn1 0.291 0.709 0.500
Sn2 0.500 0.500 0.500
Sn3 0.709 0.291 0.500
Pb1 0.098 0.902 0.500
Pb2 0.403 0.597 0.000
Pb3 0.597 0.403 0.000
Pb4 0.902 0.098 0.500
```

Largest 10 diffraction maxima, most intense first, 2θ = 10–80°:
32.26°, I 100
34.65°, I 19
38.41°, I 16
39.08°, I 16
60.59°, I 14
65.63°, I 13
66.53°, I 13
53.21°, I 12
52.68°, I 12
67.51°, I 11

No. 2
Diffraction record for TbGd2Sn4Pb3. The XRD peak list is simulated, not measured: it uses DFT lattice parameters and positions (PBE) and Cu Kα (weighted mean of Kα1 and Kα2).

```
data_TbGd2Sn4Pb3
_chemical_formula_sum 'Tb1 Gd2 Sn4 Pb3'
_space_group_name_H-M_alt 'P 1'
_space_group_IT_number 1
_cell_length_a 13.098
_cell_length_b 13.098
_cell_length_c 4.627
_cell_angle_alpha 90.00
_cell_angle_beta 90.00
_cell_angle_gamma 159.62
loop_
_space_group_symop_operation_xyz
'x,y,z'
loop_
_atom_site_label
_atom_site_fract_x
_atom_site_fract_y
_atom_site_fract_z
Tb1 0.000 0.000 0.000
Gd1 0.189 0.811 0.000
Gd2 0.811 0.189 0.000
Sn1 0.098 0.902 0.500
Sn2 0.291 0.709 0.500
Sn3 0.709 0.291 0.500
Sn4 0.902 0.098 0.500
Pb1 0.402 0.598 0.000
Pb2 0.500 0.500 0.500
Pb3 0.598 0.402 0.000
```

Largest 10 diffraction maxima, most intense first, 2θ = 10–80°:
32.39°, I 100
38.89°, I 32
66.35°, I 26
53.16°, I 23
34.79°, I 19
60.87°, I 13
56.18°, I 11
67.80°, I 11
23.67°, I 4
68.12°, I 3

No. 3
Diffraction record for Gd3Tl2Sn2Pb3. The XRD peak list is simulated, not measured: it uses DFT lattice parameters and positions (PBE) and Cu Kα (weighted mean of Kα1 and Kα2).

```
data_Gd3Tl2Sn2Pb3
_chemical_formula_sum 'Gd3 Tl2 Sn2 Pb3'
_space_group_name_H-M_alt 'P 1'
_space_group_IT_number 1
_cell_length_a 12.636
_cell_length_b 12.636
_cell_length_c 4.805
_cell_angle_alpha 90.00
_cell_angle_beta 90.00
_cell_angle_gamma 158.65
loop_
_space_group_symop_operation_xyz
'x,y,z'
loop_
_atom_site_label
_atom_site_fract_x
_atom_site_fract_y
_atom_site_fract_z
Gd1 0.000 0.000 0.000
Gd2 0.190 0.810 0.000
Gd3 0.810 0.190 0.000
Tl1 0.293 0.707 0.500
Tl2 0.707 0.293 0.500
Sn1 0.401 0.599 0.000
Sn2 0.599 0.401 0.000
Pb1 0.100 0.900 0.500
Pb2 0.500 0.500 0.500
Pb3 0.900 0.100 0.500
```

Largest 10 diffraction maxima, most intense first, 2θ = 10–80°:
32.21°, I 100
37.44°, I 17
36.17°, I 17
38.46°, I 16
64.27°, I 14
65.65°, I 13
62.57°, I 12
54.75°, I 12
53.04°, I 11
67.39°, I 11